[1]
Starting from a DFT-relaxed cell (GGA-PBE, Alexandria), the X-ray powder pattern of SmDy3Y8 was simulated for Cu Kα X-rays.
No peak broadening, texture or thermal motion is included.

Main lines, low angle first (2θ = 15–90°):
2θ (°)	d/Å	intensity
21.2	4.183	59
24.2	3.683	30
25.8	3.459	25
29.0	3.076	67
31.4	2.852	51
36.3	2.478	100
43.3	2.091	45
56.3	1.635	27

Crystal structure
Cell lengths 8.7000, 8.7000, 11.4092 Å; angles 90.00, 90.00, 90.00 degrees
Space group I-42m (No. 121)
Inequivalent atoms, fractional coordinates:
Sm 0.0000 0.0000 0.0000
Dy 0.0000 0.0000 0.5000
Dy 0.0000 0.5000 0.2500
Y 0.1264 0.1264 0.7474
Y 0.2464 0.2464 0.4932

---

[2]
Starting from a DFT-relaxed cell (GGA-PBE, Alexandria), the X-ray powder pattern of SmDy7Y5 was simulated for Cu Kα X-rays.
No peak broadening, texture or thermal motion is included.

Main lines, low angle first (2θ = 15–90°):
2θ (°)	d/Å	intensity
26.5	3.366	40
27.4	3.251	52
30.7	2.909	38
30.9	2.892	60
31.6	2.834	100
34.8	2.579	66
56.6	1.625	29
57.5	1.602	36

Crystal structure
Cell lengths 6.7318, 11.1398, 11.5665 Å; angles 90.00, 90.00, 90.00 degrees
Space group Imm2 (No. 44)
Inequivalent atoms, fractional coordinates:
Sm 0.0000 0.0000 0.0000
Dy 0.0000 0.0000 0.3948
Dy 0.0000 0.0000 0.6982
Dy 0.0000 0.3289 0.4491
Dy 0.0000 0.3286 0.9494
Dy 0.0000 0.5000 0.7002
Y 0.0000 0.5000 0.1981
Y 0.2331 0.2262 0.2000

---

[3]
Starting from a DFT-relaxed cell (GGA-PBE, Alexandria), the X-ray powder pattern of SmDy3Y4 was simulated for Cu Kα X-rays.
No peak broadening, texture or thermal motion is included.

Main lines, low angle first (2θ = 15–90°):
2θ (°)	d/Å	intensity
28.3	3.159	24
31.6	2.829	24
32.5	2.758	100
42.9	2.107	17
50.0	1.824	20
56.9	1.619	20
60.4	1.533	22
60.9	1.521	16

Crystal structure
Cell lengths 11.3168, 7.3021, 6.3115 Å; angles 90.00, 90.00, 90.00 degrees
Space group Pmn2_1 (No. 31)
Inequivalent atoms, fractional coordinates:
Sm 0.0000 0.1242 0.0000
Dy 0.0000 0.8759 0.4992
Dy 0.2502 0.1245 0.3299
Y 0.0000 0.3744 0.4971
Y 0.0000 0.6257 0.9960
Y 0.2490 0.6256 0.3328

---

[4]
Starting from a DFT-relaxed cell (GGA-PBE, Alexandria), the X-ray powder pattern of SmDy5Y5 was simulated for Cu Kα X-rays.
No peak broadening, texture or thermal motion is included.

Main lines, low angle first (2θ = 15–90°):
2θ (°)	d/Å	intensity
28.8	3.101	100
29.3	3.049	82
30.3	2.947	38
33.3	2.693	36
34.9	2.573	42
35.6	2.524	37
37.5	2.399	68
51.6	1.770	37

Crystal structure
Cell lengths 6.0978, 6.0978, 11.4960 Å; angles 90.00, 90.00, 120.00 degrees
Space group P-6m2 (No. 187)
Inequivalent atoms, fractional coordinates:
Sm 0.0000 0.0000 0.0000
Dy 0.0030 0.5015 0.5000
Dy 0.6667 0.3333 0.2654
Y 0.0000 0.0000 0.3234
Y 0.3333 0.6667 0.1604
Y 0.6667 0.3333 0.0000

---

[5]
Starting from a DFT-relaxed cell (GGA-PBE, Alexandria), the X-ray powder pattern of SmDy5Y3 was simulated for Cu Kα X-rays.
No peak broadening, texture or thermal motion is included.

Main lines, low angle first (2θ = 15–90°):
2θ (°)	d/Å	intensity
20.5	4.340	13
30.6	2.918	18
31.2	2.863	30
31.4	2.847	100
31.6	2.831	20
32.0	2.801	15
32.6	2.749	27
33.5	2.674	12

Crystal structure
Cell lengths 16.2632, 6.7064, 11.3895 Å; angles 90.00, 108.60, 90.00 degrees
Space group C2/c (No. 15)
Inequivalent atoms, fractional coordinates:
Sm 0.0000 0.2272 0.2500
Dy 0.0000 0.3203 0.7500
Dy 0.1077 0.4956 0.5443
Dy 0.1755 0.1196 0.8751
Y 0.0000 0.0000 0.0000
Y 0.2381 0.3787 0.3542

---

[6]
Starting from a DFT-relaxed cell (GGA-PBE, Alexandria), the X-ray powder pattern of Sm3Dy2Y was simulated for Cu Kα X-rays.
No peak broadening, texture or thermal motion is included.

Main lines, low angle first (2θ = 15–90°):
2θ (°)	d/Å	intensity
28.0	3.190	24
30.9	2.892	100
32.5	2.755	50
32.8	2.731	38
35.1	2.554	36
51.8	1.763	21
61.1	1.517	29
62.2	1.493	23

Crystal structure
Cell lengths 9.6729, 3.5624, 11.5753 Å; angles 90.00, 93.95, 90.00 degrees
Space group P2_1/m (No. 11)
Inequivalent atoms, fractional coordinates:
Sm 0.0760 0.2500 0.1194
Sm 0.2385 0.2500 0.8601
Sm 0.4010 0.2500 0.6033
Dy 0.0823 0.7500 0.6205
Dy 0.4420 0.2500 0.1434
Y 0.2417 0.7500 0.3546